(1)
Simulated XRD peak list
Compound: BaCO3
Radiation: a wavelength of 1.5418 Å
Structure: a GGA-PBE-relaxed structure

The 12 most intense peaks (10 to 90 degrees two-theta), low angle first:
2θ/deg, I (rel.)
21.7, 31
22.1, 88
25.6, 46
27.2, 100
29.9, 72
32.0, 29
33.0, 30
38.6, 25
39.1, 29
39.8, 33
43.3, 76
48.3, 27

Atomic structure:
```
data_BaCO3
_chemical_formula_sum 'Ba2 C2 O6'
_cell_length_a 4.6573
_cell_length_b 5.4344
_cell_length_c 6.1523
_cell_angle_alpha 90.00
_cell_angle_beta 103.64
_cell_angle_gamma 90.00
_space_group_name_H-M_alt 'P 1 21/m 1'
_space_group_IT_number 11
loop_
_space_group_symop_operation_xyz
'x,y,z'
'-x,-y,-z'
'-x,y+1/2,-z'
'x,-y+1/2,z'
loop_
_atom_site_label
_atom_site_type_symbol
_atom_site_fract_x
_atom_site_fract_y
_atom_site_fract_z
_atom_site_occupancy
Ba1 Ba 0.1228 0.2500 0.2664 1
C1 C 0.4968 0.2500 0.7559 1
O1 O 0.2201 0.7500 0.1538 1
O2 O 0.3592 0.0422 0.7041 1
```

(2)
Simulated XRD peak list
Compound: BaCO3
Radiation: a wavelength of 1.5418 Å
Structure: a GGA-PBE-relaxed structure

The 12 most intense peaks (10 to 90 degrees two-theta), low angle first:
2θ/deg, I (rel.)
20.7, 59
25.5, 100
32.9, 33
39.2, 22
39.6, 30
42.1, 15
42.2, 37
52.1, 21
54.5, 15
63.3, 9
63.6, 10
75.0, 14

Atomic structure:
```
data_BaCO3
_chemical_formula_sum 'Ba3 C3 O9'
_cell_length_a 5.4391
_cell_length_b 5.4391
_cell_length_c 10.4130
_cell_angle_alpha 90.00
_cell_angle_beta 90.00
_cell_angle_gamma 120.00
_space_group_name_H-M_alt 'R 3 2'
_space_group_IT_number 155
_space_group_name_Hall 'R 3 2"'
loop_
_atom_site_label
_atom_site_type_symbol
_atom_site_fract_x
_atom_site_fract_y
_atom_site_fract_z
_atom_site_occupancy
Ba1 Ba 0.0000 0.0000 0.0000 1
C1 C 0.0000 0.0000 0.5000 1
O1 O 0.0000 0.7608 0.5000 1
```

(3)
Simulated XRD peak list
Compound: BaCO3
Radiation: a wavelength of 1.5418 Å
Structure: a GGA-PBE-relaxed structure

The 12 most intense peaks (10 to 90 degrees two-theta), low angle first:
2θ/deg, I (rel.)
20.7, 60
25.5, 100
33.0, 31
39.3, 22
39.5, 30
42.2, 51
52.3, 20
54.6, 14
63.4, 9
63.6, 9
69.5, 8
75.2, 14

Atomic structure:
```
data_BaCO3
_chemical_formula_sum 'Ba6 C6 O18'
_cell_length_a 5.4247
_cell_length_b 5.4247
_cell_length_c 20.8616
_cell_angle_alpha 90.00
_cell_angle_beta 90.00
_cell_angle_gamma 120.00
_space_group_name_H-M_alt 'R -3 c'
_space_group_IT_number 167
_space_group_name_Hall '-R 3 2"c'
loop_
_atom_site_label
_atom_site_type_symbol
_atom_site_fract_x
_atom_site_fract_y
_atom_site_fract_z
_atom_site_occupancy
Ba1 Ba 0.0000 0.0000 0.0000 1
C1 C 0.0000 0.0000 0.2500 1
O1 O 0.0000 0.2406 0.2500 1
```

(4)
Simulated XRD peak list
Compound: BaCO3
Radiation: a wavelength of 1.5418 Å
Structure: a GGA-PBE-relaxed structure

The 12 most intense peaks (10 to 90 degrees two-theta), low angle first:
2θ/deg, I (rel.)
20.2, 18
20.6, 25
21.3, 73
26.3, 100
26.5, 19
26.8, 59
33.0, 25
33.5, 21
39.6, 31
42.3, 33
43.4, 18
43.9, 19

Atomic structure:
```
data_BaCO3
_chemical_formula_sum 'Ba2 C2 O6'
_cell_length_a 4.6083
_cell_length_b 5.3522
_cell_length_c 6.9804
_cell_angle_alpha 90.00
_cell_angle_beta 107.78
_cell_angle_gamma 90.00
_space_group_name_H-M_alt 'P 1 21/m 1'
_space_group_IT_number 11
loop_
_space_group_symop_operation_xyz
'x,y,z'
'-x,-y,-z'
'-x,y+1/2,-z'
'x,-y+1/2,z'
loop_
_atom_site_label
_atom_site_type_symbol
_atom_site_fract_x
_atom_site_fract_y
_atom_site_fract_z
_atom_site_occupancy
Ba1 Ba 0.1750 0.2500 0.2708 1
C1 C 0.2366 0.2500 0.7416 1
O1 O 0.0720 0.2500 0.8639 1
O2 O 0.3103 0.0394 0.6754 1
```